Simulated X-ray powder pattern of Li5Mn6O12 for Cu Kα X-rays, from a PBE+U-relaxed structure.
Kinematic intensities with the Lorentz-polarization factor, no thermal factor.

a b c (Å): 6.142 6.552 6.557
angles (deg): 97.80 103.26 112.38
Positions (direct):
Li (0.000, 0.000, 0.000)
Li (0.003, 0.670, 0.669)
Li (0.499, 0.674, 0.674)
Li (0.501, 0.326, 0.326)
Li (0.997, 0.330, 0.331)
Mn (0.251, 0.838, 0.328)
Mn (0.252, 0.507, 0.997)
Mn (0.253, 0.167, 0.666)
Mn (0.747, 0.833, 0.334)
Mn (0.748, 0.493, 0.003)
Mn (0.749, 0.162, 0.672)
O (0.103, 0.726, 0.012)
O (0.141, 0.082, 0.346)
O (0.151, 0.418, 0.683)
O (0.352, 0.919, 0.640)
O (0.355, 0.589, 0.312)
O (0.376, 0.273, 0.984)
O (0.624, 0.727, 0.016)
O (0.645, 0.411, 0.688)
O (0.648, 0.081, 0.360)
O (0.849, 0.582, 0.317)
O (0.859, 0.918, 0.654)
O (0.897, 0.274, 0.988)

Top 10 peaks for 5° ≤ 2θ ≤ 70°, by angle:
2θ = 18.08°, I = 100; 2θ = 33.15°, I = 20; 2θ = 36.04°, I = 15; 2θ = 36.16°, I = 11; 2θ = 39.86°, I = 31; 2θ = 43.93°, I = 22; 2θ = 44.04°, I = 22; 2θ = 46.45°, I = 10; 2θ = 60.35°, I = 7; 2θ = 64.95°, I = 9

---

Simulated X-ray powder pattern of Li3Mn3O8 for Cu Kα X-rays, from a PBE+U-relaxed structure.
Kinematic intensities with the Lorentz-polarization factor, no thermal factor.

a b c (Å): 8.275 8.275 8.275
angles (deg): 90.00 90.00 90.00
Positions (direct):
Li (0.004, 0.004, 0.004)
Li (0.125, 0.875, 0.375)
Li (0.246, 0.246, 0.246)
Li (0.254, 0.754, 0.746)
Li (0.375, 0.125, 0.875)
Li (0.496, 0.996, 0.504)
Li (0.504, 0.496, 0.996)
Li (0.625, 0.625, 0.625)
Li (0.746, 0.254, 0.754)
Li (0.754, 0.746, 0.254)
Li (0.875, 0.375, 0.125)
Li (0.996, 0.504, 0.496)
Mn (0.122, 0.128, 0.625)
Mn (0.125, 0.378, 0.872)
Mn (0.128, 0.625, 0.122)
Mn (0.372, 0.375, 0.622)
Mn (0.375, 0.622, 0.372)
Mn (0.378, 0.872, 0.125)
Mn (0.622, 0.372, 0.375)
Mn (0.625, 0.122, 0.128)
Mn (0.628, 0.875, 0.878)
Mn (0.872, 0.125, 0.378)
Mn (0.875, 0.878, 0.628)
Mn (0.878, 0.628, 0.875)
O (0.099, 0.130, 0.393)
O (0.107, 0.901, 0.630)
O (0.115, 0.615, 0.885)
O (0.120, 0.151, 0.857)
O (0.130, 0.393, 0.099)
O (0.135, 0.365, 0.635)
O (0.143, 0.620, 0.349)
O (0.151, 0.857, 0.120)
O (0.349, 0.143, 0.620)
O (0.357, 0.380, 0.849)
O (0.365, 0.635, 0.135)
O (0.370, 0.607, 0.599)
O (0.380, 0.849, 0.357)
O (0.385, 0.385, 0.385)
O (0.393, 0.099, 0.130)
O (0.401, 0.870, 0.893)
O (0.599, 0.370, 0.607)
O (0.607, 0.599, 0.370)
O (0.615, 0.885, 0.115)
O (0.620, 0.349, 0.143)
O (0.630, 0.107, 0.901)
O (0.635, 0.135, 0.365)
O (0.643, 0.880, 0.651)
O (0.651, 0.643, 0.880)
O (0.849, 0.357, 0.380)
O (0.857, 0.120, 0.151)
O (0.865, 0.865, 0.865)
O (0.870, 0.893, 0.401)
O (0.880, 0.651, 0.643)
O (0.885, 0.115, 0.615)
O (0.893, 0.401, 0.870)
O (0.901, 0.630, 0.107)

Top 10 peaks for 5° ≤ 2θ ≤ 70°, by angle:
2θ = 15.14°, I = 28; 2θ = 18.57°, I = 100; 2θ = 24.05°, I = 28; 2θ = 26.38°, I = 11; 2θ = 36.00°, I = 46; 2θ = 43.76°, I = 62; 2θ = 47.92°, I = 8; 2θ = 57.90°, I = 21; 2θ = 63.61°, I = 36; 2θ = 66.89°, I = 13

---

Simulated X-ray powder pattern of Li3Mn3O8 for Cu Kα X-rays, from a PBE+U-relaxed structure.
Kinematic intensities with the Lorentz-polarization factor, no thermal factor.

a b c (Å): 8.340 8.340 8.303
angles (deg): 90.95 90.95 90.21
Positions (direct):
Li (0.000, 0.000, 0.000)
Li (0.109, 0.113, 0.640)
Li (0.114, 0.634, 0.110)
Li (0.279, 0.308, 0.504)
Li (0.320, 0.501, 0.273)
Li (0.366, 0.886, 0.890)
Li (0.499, 0.680, 0.727)
Li (0.630, 0.121, 0.131)
Li (0.692, 0.721, 0.496)
Li (0.752, 0.248, 0.500)
Li (0.879, 0.370, 0.869)
Li (0.887, 0.891, 0.360)
Mn (0.002, 0.505, 0.497)
Mn (0.008, 0.254, 0.247)
Mn (0.241, 0.759, 0.500)
Mn (0.252, 0.004, 0.252)
Mn (0.255, 0.252, 0.004)
Mn (0.495, 0.998, 0.503)
Mn (0.505, 0.239, 0.759)
Mn (0.505, 0.495, 0.000)
Mn (0.746, 0.992, 0.753)
Mn (0.748, 0.745, 0.996)
Mn (0.761, 0.495, 0.241)
Mn (0.996, 0.748, 0.748)
O (0.004, 0.742, 0.510)
O (0.021, 0.279, 0.483)
O (0.023, 0.030, 0.250)
O (0.030, 0.257, 0.018)
O (0.222, 0.767, 0.731)
O (0.230, 0.534, 0.484)
O (0.233, 0.778, 0.269)
O (0.244, 0.244, 0.245)
O (0.253, 0.023, 0.028)
O (0.258, 0.996, 0.490)
O (0.271, 0.236, 0.777)
O (0.283, 0.481, 0.028)
O (0.466, 0.770, 0.516)
O (0.479, 0.012, 0.281)
O (0.491, 0.258, 0.995)
O (0.496, 0.225, 0.533)
O (0.510, 0.005, 0.742)
O (0.510, 0.461, 0.775)
O (0.519, 0.717, 0.972)
O (0.539, 0.490, 0.225)
O (0.721, 0.979, 0.517)
O (0.733, 0.217, 0.757)
O (0.742, 0.509, 0.005)
O (0.743, 0.970, 0.982)
O (0.756, 0.756, 0.755)
O (0.764, 0.729, 0.223)
O (0.775, 0.504, 0.467)
O (0.783, 0.267, 0.243)
O (0.970, 0.977, 0.750)
O (0.977, 0.747, 0.972)
O (0.988, 0.521, 0.719)
O (0.995, 0.490, 0.258)

Top 10 peaks for 5° ≤ 2θ ≤ 70°, by angle:
2θ = 14.95°, I = 41; 2θ = 15.19°, I = 26; 2θ = 18.27°, I = 49; 2θ = 18.43°, I = 100; 2θ = 18.69°, I = 39; 2θ = 24.08°, I = 22; 2θ = 35.55°, I = 35; 2θ = 35.82°, I = 27; 2θ = 43.40°, I = 82; 2θ = 43.62°, I = 41